[1]
The following is a theoretical XRD peak list of Te2MoW3S6. It was derived from a PBE-relaxed structure, using λ = 1.5418 Å (Cu Kα).
Intensities are scaled so that the largest is 100.

Structure:
```
data_Te2MoW3S6
_chemical_formula_sum 'Te2 Mo1 W3 S6'
_symmetry_space_group_name_H-M 'P 3 m 1'
_symmetry_Int_Tables_number 156
_cell_length_a 3.2738
_cell_length_b 3.2738
_cell_length_c 37.2248
_cell_angle_alpha 90.00
_cell_angle_beta 90.00
_cell_angle_gamma 120.00
loop_
_symmetry_equiv_pos_as_xyz
'x,y,z'
'-y,x-y,z'
'-x+y,-x,z'
'-y,-x,z'
'-x+y,y,z'
'x,x-y,z'
loop_
_atom_site_label
_atom_site_type_symbol
_atom_site_fract_x
_atom_site_fract_y
_atom_site_fract_z
_atom_site_occupancy
Te1 Te 0.0000 0.0000 0.0000 1
Te2 Te 0.0000 0.0000 0.1043 1
Mo1 Mo 0.0000 0.0000 0.8642 1
W1 W 0.0000 0.0000 0.4885 1
W2 W 0.3333 0.6667 0.0522 1
W3 W 0.3333 0.6667 0.6764 1
S1 S 0.0000 0.0000 0.6349 1
S2 S 0.0000 0.0000 0.7179 1
S3 S 0.3333 0.6667 0.4470 1
S4 S 0.3333 0.6667 0.5300 1
S5 S 0.3333 0.6667 0.8229 1
S6 S 0.3333 0.6667 0.9055 1
```

The 8 most intense peaks (5° ≤ 2θ ≤ 70°), in order of rising 2θ:
hkl 0 0 3, 12.408 Å, 2θ = 7.12°, I 58; hkl 0 0 5, 7.445 Å, 2θ = 11.89°, I 100; hkl 0 0 6, 6.204 Å, 2θ = 14.28°, I 25; hkl 1 0 0, 2.834 Å, 2θ = 31.57°, I 28; hkl 1 0 8, 2.421 Å, 2θ = 37.13°, I 69; hkl 1 0 10, 2.256 Å, 2θ = 39.97°, I 16; hkl 0 1 13, 2.015 Å, 2θ = 45.00°, I 32; hkl 1 1 0, 1.637 Å, 2θ = 56.20°, I 19


[2]
The following is a theoretical XRD peak list of GdLuCu2. It was derived from a PBE-relaxed structure, using λ = 1.5418 Å (Cu Kα).
Intensities are scaled so that the largest is 100.

Structure:
```
data_GdLuCu2
_chemical_formula_sum 'Gd4 Lu4 Cu8'
_symmetry_space_group_name_H-M 'F m -3 m'
_symmetry_Int_Tables_number 225
_symmetry_space_group_name_Hall '-F 4 2 3'
_cell_length_a 6.890
_cell_length_b 6.890
_cell_length_c 6.890
_cell_angle_alpha 90.00
_cell_angle_beta 90.00
_cell_angle_gamma 90.00
loop_
_atom_site_label
_atom_site_type_symbol
_atom_site_fract_x
_atom_site_fract_y
_atom_site_fract_z
_atom_site_occupancy
Gd1 Gd 0.000 0.000 0.000 1
Lu1 Lu 0.000 0.000 0.500 1
Cu1 Cu 0.250 0.250 0.250 1
```

The 6 most intense peaks (5° ≤ 2θ ≤ 70°), in order of rising 2θ:
hkl 2 0 0, 3.445 Å, 2θ = 25.86°, I 20; hkl 2 2 0, 2.436 Å, 2θ = 36.90°, I 100; hkl 2 2 2, 1.989 Å, 2θ = 45.61°, I 6; hkl 4 0 0, 1.723 Å, 2θ = 53.17°, I 17; hkl 4 2 0, 1.541 Å, 2θ = 60.05°, I 9; hkl 4 2 2, 1.406 Å, 2θ = 66.48°, I 35


[3]
The following is a theoretical XRD peak list of LiBH4. It was derived from a PBE-relaxed structure, using λ = 1.5418 Å (Cu Kα).
Intensities are scaled so that the largest is 100.

Structure:
```
data_LiBH4
_chemical_formula_sum 'Li2 B2 H8'
_symmetry_space_group_name_H-M 'P -1'
_symmetry_Int_Tables_number 2
_cell_length_a 4.073
_cell_length_b 4.080
_cell_length_c 5.067
_cell_angle_alpha 90.22
_cell_angle_beta 90.12
_cell_angle_gamma 90.00
loop_
_symmetry_equiv_pos_as_xyz
'x,y,z'
'-x,-y,-z'
loop_
_atom_site_label
_atom_site_type_symbol
_atom_site_fract_x
_atom_site_fract_y
_atom_site_fract_z
_atom_site_occupancy
Li1 Li 0.248 0.259 0.250 1
B1 B 0.242 0.256 0.749 1
H1 H 0.005 0.750 0.388 1
H2 H 0.256 0.501 0.882 1
H3 H 0.257 0.007 0.888 1
H4 H 0.496 0.249 0.610 1
```

The 8 most intense peaks (5° ≤ 2θ ≤ 70°), in order of rising 2θ:
hkl 1 0 -1, 3.181 Å, 2θ = 28.05°, I 25; hkl 0 1 1, 3.172 Å, 2θ = 28.14°, I 24; hkl 1 1 0, 2.883 Å, 2θ = 31.02°, I 100; hkl 0 0 2, 2.533 Å, 2θ = 35.43°, I 28; hkl 2 0 0, 2.038 Å, 2θ = 44.45°, I 30; hkl 1 1 -2, 1.905 Å, 2θ = 47.73°, I 23; hkl 1 1 2, 1.900 Å, 2θ = 47.87°, I 23; hkl 2 0 2, 1.586 Å, 2θ = 58.17°, I 12


[4]
The following is a theoretical XRD peak list of Ta3AlCr8. It was derived from a PBE-relaxed structure, using λ = 1.5418 Å (Cu Kα).
Intensities are scaled so that the largest is 100.

Structure:
```
data_Ta3AlCr8
_chemical_formula_sum 'Ta3 Al1 Cr8'
_symmetry_space_group_name_H-M 'P 3 m 1'
_symmetry_Int_Tables_number 156
_cell_length_a 4.8640
_cell_length_b 4.8640
_cell_length_c 7.9909
_cell_angle_alpha 90.00
_cell_angle_beta 90.00
_cell_angle_gamma 120.00
loop_
_symmetry_equiv_pos_as_xyz
'x,y,z'
'-y,x-y,z'
'-x+y,-x,z'
'-y,-x,z'
'-x+y,y,z'
'x,x-y,z'
loop_
_atom_site_label
_atom_site_type_symbol
_atom_site_fract_x
_atom_site_fract_y
_atom_site_fract_z
_atom_site_occupancy
Ta1 Ta 0.0000 0.0000 0.0000 1
Ta2 Ta 0.0000 0.0000 0.3804 1
Ta3 Ta 0.3333 0.6667 0.8758 1
Al1 Al 0.3333 0.6667 0.5025 1
Cr1 Cr 0.0078 0.5039 0.1904 1
Cr2 Cr 0.3281 0.1641 0.6875 1
Cr3 Cr 0.6667 0.3333 0.4389 1
Cr4 Cr 0.6667 0.3333 0.9382 1
```

The 8 most intense peaks (5° ≤ 2θ ≤ 70°), in order of rising 2θ:
hkl 1 0 0, 4.212 Å, 2θ = 21.09°, I 26; hkl 1 0 1, 3.726 Å, 2θ = 23.88°, I 33; hkl 1 0 2, 2.899 Å, 2θ = 30.85°, I 28; hkl 1 1 0, 2.432 Å, 2θ = 36.96°, I 64; hkl 1 0 3, 2.251 Å, 2θ = 40.05°, I 98; hkl 1 1 2, 2.077 Å, 2θ = 43.57°, I 100; hkl 0 2 1, 2.037 Å, 2θ = 44.49°, I 55; hkl 2 1 3, 1.367 Å, 2θ = 68.68°, I 38


[5]
The following is a theoretical XRD peak list of Ni2B. It was derived from a PBE-relaxed structure, using λ = 1.5418 Å (Cu Kα).
Intensities are scaled so that the largest is 100.

Structure:
```
data_Ni2B
_chemical_formula_sum 'Ni8 B4'
_symmetry_space_group_name_H-M 'I 4/m c m'
_symmetry_Int_Tables_number 140
_symmetry_space_group_name_Hall '-I 4 2c'
_cell_length_a 4.967
_cell_length_b 4.967
_cell_length_c 4.256
_cell_angle_alpha 90.00
_cell_angle_beta 90.00
_cell_angle_gamma 90.00
loop_
_atom_site_label
_atom_site_type_symbol
_atom_site_fract_x
_atom_site_fract_y
_atom_site_fract_z
_atom_site_occupancy
Ni1 Ni 0.170 0.330 0.000 1
B1 B 0.000 0.000 0.250 1
```

The 8 most intense peaks (5° ≤ 2θ ≤ 70°), in order of rising 2θ:
hkl 1 1 0, 3.512 Å, 2θ = 25.36°, I 6; hkl 2 0 0, 2.484 Å, 2θ = 36.17°, I 21; hkl 0 0 2, 2.128 Å, 2θ = 42.48°, I 26; hkl 2 1 1, 1.969 Å, 2θ = 46.09°, I 100; hkl 1 1 2, 1.820 Å, 2θ = 50.12°, I 6; hkl 2 2 0, 1.756 Å, 2θ = 52.08°, I 4; hkl 2 0 2, 1.616 Å, 2θ = 56.99°, I 16; hkl 3 1 0, 1.571 Å, 2θ = 58.78°, I 12


[6]
The following is a theoretical XRD peak list of CsMgAsH6O4. It was derived from a PBE-relaxed structure, using λ = 1.5418 Å (Cu Kα).
Intensities are scaled so that the largest is 100.

Structure:
```
data_CsMgAsH6O4
_chemical_formula_sum 'Cs4 Mg4 As4 H24 O16'
_symmetry_space_group_name_H-M 'F -4 3 m'
_symmetry_Int_Tables_number 216
_symmetry_space_group_name_Hall 'F -4 2 3'
_cell_length_a 10.290
_cell_length_b 10.290
_cell_length_c 10.290
_cell_angle_alpha 90.00
_cell_angle_beta 90.00
_cell_angle_gamma 90.00
loop_
_atom_site_label
_atom_site_type_symbol
_atom_site_fract_x
_atom_site_fract_y
_atom_site_fract_z
_atom_site_occupancy
Cs1 Cs 0.000 0.000 0.000 1
Mg1 Mg 0.000 0.000 0.500 1
As1 As 0.250 0.250 0.750 1
H1 H 0.000 0.000 0.304 1
O1 O 0.153 0.153 0.847 1
```

The 8 most intense peaks (5° ≤ 2θ ≤ 70°), in order of rising 2θ:
hkl 1 1 1, 5.941 Å, 2θ = 14.91°, I 99; hkl 2 2 0, 3.638 Å, 2θ = 24.47°, I 100; hkl 3 1 1, 3.102 Å, 2θ = 28.78°, I 25; hkl 3 3 1, 2.361 Å, 2θ = 38.12°, I 29; hkl 4 2 2, 2.100 Å, 2θ = 43.07°, I 39; hkl 4 4 0, 1.819 Å, 2θ = 50.15°, I 17; hkl 6 2 0, 1.627 Å, 2θ = 56.57°, I 16; hkl 6 4 2, 1.375 Å, 2θ = 68.20°, I 23


[7]
The following is a theoretical XRD peak list of Mg3B7ClO13. It was derived from a PBE-relaxed structure, using λ = 1.5418 Å (Cu Kα).
Intensities are scaled so that the largest is 100.

Structure:
```
data_Mg3B7ClO13
_chemical_formula_sum 'Mg24 B56 Cl8 O104'
_symmetry_space_group_name_H-M 'F -4 3 c'
_symmetry_Int_Tables_number 219
_symmetry_space_group_name_Hall 'F -4a 2 3'
_cell_length_a 12.172
_cell_length_b 12.172
_cell_length_c 12.172
_cell_angle_alpha 90.00
_cell_angle_beta 90.00
_cell_angle_gamma 90.00
loop_
_atom_site_label
_atom_site_type_symbol
_atom_site_fract_x
_atom_site_fract_y
_atom_site_fract_z
_atom_site_occupancy
Mg1 Mg 0.000 0.000 0.250 1
B1 B 0.000 0.250 0.250 1
B2 B 0.169 0.169 0.169 1
Cl1 Cl 0.000 0.000 0.000 1
O1 O 0.069 0.152 0.229 1
O2 O 0.250 0.250 0.250 1
```

The 8 most intense peaks (5° ≤ 2θ ≤ 70°), in order of rising 2θ:
hkl 2 0 0, 6.086 Å, 2θ = 14.55°, I 34; hkl 2 2 2, 3.514 Å, 2θ = 25.35°, I 40; hkl 4 0 0, 3.043 Å, 2θ = 29.35°, I 99; hkl 4 2 0, 2.722 Å, 2θ = 32.91°, I 73; hkl 4 4 0, 2.152 Å, 2θ = 41.99°, I 49; hkl 5 3 1, 2.057 Å, 2θ = 44.01°, I 100; hkl 4 4 4, 1.757 Å, 2θ = 52.05°, I 37; hkl 8 4 0, 1.361 Å, 2θ = 69.01°, I 32


[8]
The following is a theoretical XRD peak list of Si. It was derived from a PBE-relaxed structure, using λ = 1.5418 Å (Cu Kα).
Intensities are scaled so that the largest is 100.

Structure:
```
data_Si
_chemical_formula_sum 'Si12'
_symmetry_space_group_name_H-M 'I m -3 m'
_symmetry_Int_Tables_number 229
_symmetry_space_group_name_Hall '-I 4 2 3'
_cell_length_a 6.732
_cell_length_b 6.732
_cell_length_c 6.732
_cell_angle_alpha 90.00
_cell_angle_beta 90.00
_cell_angle_gamma 90.00
loop_
_atom_site_label
_atom_site_type_symbol
_atom_site_fract_x
_atom_site_fract_y
_atom_site_fract_z
_atom_site_occupancy
Si1 Si 0.000 0.250 0.500 1
```

The 8 most intense peaks (5° ≤ 2θ ≤ 70°), in order of rising 2θ:
hkl 1 1 0, 4.760 Å, 2θ = 18.64°, I 100; hkl 2 0 0, 3.366 Å, 2θ = 26.48°, I 20; hkl 2 1 1, 2.748 Å, 2θ = 32.58°, I 43; hkl 2 2 0, 2.380 Å, 2θ = 37.80°, I 14; hkl 3 1 0, 2.129 Å, 2θ = 42.46°, I 20; hkl 2 2 2, 1.943 Å, 2θ = 46.74°, I 44; hkl 3 2 1, 1.799 Å, 2θ = 50.74°, I 23; hkl 4 0 0, 1.683 Å, 2θ = 54.52°, I 21


[9]
The following is a theoretical XRD peak list of MoS2. It was derived from a PBE-relaxed structure, using λ = 1.5418 Å (Cu Kα).
Intensities are scaled so that the largest is 100.

Structure:
```
data_MoS2
_chemical_formula_sum 'Mo3 S6'
_symmetry_space_group_name_H-M 'P -6 m 2'
_symmetry_Int_Tables_number 187
_symmetry_space_group_name_Hall 'P -6 2'
_cell_length_a 3.1903
_cell_length_b 3.1903
_cell_length_c 32.3185
_cell_angle_alpha 90.00
_cell_angle_beta 90.00
_cell_angle_gamma 120.00
loop_
_atom_site_label
_atom_site_type_symbol
_atom_site_fract_x
_atom_site_fract_y
_atom_site_fract_z
_atom_site_occupancy
Mo1 Mo 0.0000 0.0000 0.0000 1
Mo2 Mo 0.6667 0.3333 0.2302 1
S1 S 0.0000 0.0000 0.1818 1
S2 S 0.0000 0.0000 0.2786 1
S3 S 0.6667 0.3333 0.0484 1
```

The 8 most intense peaks (5° ≤ 2θ ≤ 70°), in order of rising 2θ:
hkl 0 0 2, 16.159 Å, 2θ = 5.47°, I 82; hkl 0 0 4, 8.080 Å, 2θ = 10.95°, I 100; hkl 0 0 5, 6.464 Å, 2θ = 13.70°, I 26; hkl 1 0 0, 2.763 Å, 2θ = 32.40°, I 12; hkl 1 0 6, 2.458 Å, 2θ = 36.55°, I 17; hkl 1 0 7, 2.371 Å, 2θ = 37.95°, I 21; hkl 1 0 11, 2.013 Å, 2θ = 45.04°, I 26; hkl 1 1 0, 1.595 Å, 2θ = 57.82°, I 11


Please write out number 5 again, unchanged.
The following is a theoretical XRD peak list of Ni2B. It was derived from a PBE-relaxed structure, using λ = 1.5418 Å (Cu Kα).
Intensities are scaled so that the largest is 100.

Structure:
```
data_Ni2B
_chemical_formula_sum 'Ni8 B4'
_symmetry_space_group_name_H-M 'I 4/m c m'
_symmetry_Int_Tables_number 140
_symmetry_space_group_name_Hall '-I 4 2c'
_cell_length_a 4.967
_cell_length_b 4.967
_cell_length_c 4.256
_cell_angle_alpha 90.00
_cell_angle_beta 90.00
_cell_angle_gamma 90.00
loop_
_atom_site_label
_atom_site_type_symbol
_atom_site_fract_x
_atom_site_fract_y
_atom_site_fract_z
_atom_site_occupancy
Ni1 Ni 0.170 0.330 0.000 1
B1 B 0.000 0.000 0.250 1
```

The 8 most intense peaks (5° ≤ 2θ ≤ 70°), in order of rising 2θ:
hkl 1 1 0, 3.512 Å, 2θ = 25.36°, I 6; hkl 2 0 0, 2.484 Å, 2θ = 36.17°, I 21; hkl 0 0 2, 2.128 Å, 2θ = 42.48°, I 26; hkl 2 1 1, 1.969 Å, 2θ = 46.09°, I 100; hkl 1 1 2, 1.820 Å, 2θ = 50.12°, I 6; hkl 2 2 0, 1.756 Å, 2θ = 52.08°, I 4; hkl 2 0 2, 1.616 Å, 2θ = 56.99°, I 16; hkl 3 1 0, 1.571 Å, 2θ = 58.78°, I 12